This entry pairs a crystal structure of CaMo2O7 with its computed PXRD pattern. Radiation: Cu Ka. Structure: a GGA+U-relaxed structure.
Neutral-atom scattering factors, no anomalous dispersion.

Main lines, in order of rising 2θ (10° ≤ 2θ ≤ 80°):
2θ 13.39, rel. 21, hkl 1 0 0
2θ 18.33, rel. 62, hkl 1 1 0
2θ 19.22, rel. 100, hkl 1 1 -1
2θ 21.51, rel. 58, hkl 0 0 2
2θ 25.06, rel. 40, hkl 0 2 0
2θ 26.02, rel. 39, hkl 2 0 -1
2θ 31.27, rel. 34, hkl 1 1 2
2θ 33.26, rel. 21, hkl 0 2 2
2θ 33.92, rel. 30, hkl 1 1 -3
2θ 36.44, rel. 20, hkl 2 2 -1

Cell and atoms:
```
data_CaMo2O7
_space_group_name_H-M_alt 'P 1 21 1'
_space_group_IT_number 4
_cell_length_a 6.8983
_cell_length_b 7.1071
_cell_length_c 8.6210
_cell_angle_alpha 90.00
_cell_angle_beta 106.59
_cell_angle_gamma 90.00
loop_
_space_group_symop_operation_xyz
'x,y,z'
'-x,y+1/2,-z'
loop_
_atom_site_label
_atom_site_type_symbol
_atom_site_fract_x
_atom_site_fract_y
_atom_site_fract_z
Ca1 Ca 0.1185 0.0000 0.1409
Mo1 Mo 0.1049 0.5241 0.2915
Mo2 Mo 0.3327 0.5565 0.7060
O1 O 0.0551 0.6566 0.1023
O2 O 0.1118 0.4350 0.7210
O3 O 0.1218 0.9874 0.6690
O4 O 0.1921 0.2981 0.2527
O5 O 0.2807 0.6360 0.4815
O6 O 0.3843 0.7338 0.8488
O7 O 0.4509 0.9077 0.2464
```